# CoPd2N2
Calculated powder XRD pattern, Cu Ka. Input: a PBE-relaxed structure.

Structural model:
```
data_CoPd2N2
_space_group_name_H-M_alt 'R -3 m'
_space_group_IT_number 166
_space_group_name_Hall '-R 3 2"'
_cell_length_a 2.8256
_cell_length_b 2.8256
_cell_length_c 24.6808
_cell_angle_alpha 90.00
_cell_angle_beta 90.00
_cell_angle_gamma 120.00
loop_
_atom_site_label
_atom_site_type_symbol
_atom_site_fract_x
_atom_site_fract_y
_atom_site_fract_z
Co1 Co 0.0000 0.0000 0.0000
Pd1 Pd 0.0000 0.0000 0.2130
N1 N 0.0000 0.0000 0.2921
```

Largest 10 diffraction maxima, most intense first, 2θ = 10–80°:
d (Å)  Position (°2θ)  Rel. int.  hkl
2.192  41.17  100  0 1 5
2.275  39.62  83  1 0 4
2.742  32.65  61  0 0 9
2.400  37.47  56  0 1 2
1.738  52.67  45  1 0 10
8.227  10.75  45  0 0 3
1.430  65.23  38  0 1 14
1.413  66.14  37  1 1 0
1.256  75.73  31  1 1 9
2.435  36.91  27  1 0 1